[1]
Starting from the PBE geometry in the Materials Project, the XRD peak list of Zr2Te4Cl2O11 was calculated for λ = 1.5418 Å (Cu Kα).
Peak positions follow from Bragg's law for the DFT cell and can differ from measured ones.

Atomic structure:
```
data_Zr2Te4Cl2O11
_chemical_formula_sum 'Zr4 Te8 Cl4 O22'
_cell_length_a 7.9330
_cell_length_b 9.7067
_cell_length_c 10.5479
_cell_angle_alpha 111.65
_cell_angle_beta 108.31
_cell_angle_gamma 97.78
_space_group_name_H-M_alt 'P -1'
_space_group_IT_number 2
_space_group_name_Hall '-P 1'
loop_
_atom_site_label
_atom_site_type_symbol
_atom_site_fract_x
_atom_site_fract_y
_atom_site_fract_z
_atom_site_occupancy
Zr1 Zr 0.1132 0.3888 0.3808 1
Zr2 Zr 0.3755 0.1102 0.1087 1
Te1 Te 0.0073 0.2615 0.0001 1
Te2 Te 0.2105 0.0200 0.7355 1
Te3 Te 0.2619 0.5101 0.7942 1
Te4 Te 0.4759 0.7606 0.4692 1
Cl1 Cl 0.1026 0.8805 0.3704 1
Cl2 Cl 0.3663 0.6089 0.1071 1
O1 O 0.0620 0.8245 0.6739 1
O2 O 0.0726 0.6128 0.8312 1
O3 O 0.1115 0.4953 0.6008 1
O4 O 0.1736 0.1335 0.9185 1
O5 O 0.1791 0.9164 0.0603 1
O6 O 0.1807 0.2562 0.1763 1
O7 O 0.2878 0.5836 0.4115 1
O8 O 0.3275 0.3310 0.5116 1
O9 O 0.4094 0.0056 0.8919 1
O10 O 0.4472 0.6796 0.8400 1
O11 O 0.4947 0.1421 0.3302 1
```

Most intense lines, 2θ from 10° to 90°, by intensity:
| h k l | 2θ (°) | I/Imax |
| --- | --- | --- |
| 1 0 -3 | 27.3 | 100 |
| 1 2 -1 | 23.3 | 97 |
| 3 0 -1 | 34.5 | 37 |
| 1 -2 3 | 32.8 | 27 |
| 2 2 -4 | 37.8 | 26 |
| 2 4 -2 | 47.6 | 17 |
| -3 2 3 | 44.4 | 17 |
| 0 1 -1 | 10.6 | 14 |


[2]
Starting from the PBE geometry in the Materials Project, the XRD peak list of TiClO was calculated for λ = 1.5418 Å (Cu Kα).
Peak positions follow from Bragg's law for the DFT cell and can differ from measured ones.

Atomic structure:
```
data_TiClO
_chemical_formula_sum 'Ti2 Cl2 O2'
_cell_length_a 3.2689
_cell_length_b 3.9745
_cell_length_c 8.2096
_cell_angle_alpha 90.00
_cell_angle_beta 90.00
_cell_angle_gamma 90.00
_space_group_name_H-M_alt 'P m m n'
_space_group_IT_number 59
loop_
_space_group_symop_operation_xyz
'x,y,z'
'-x,-y,-z'
'-x+1/2,-y+1/2,z'
'x+1/2,y+1/2,-z'
'x+1/2,-y,-z'
'-x+1/2,y,z'
'-x,y+1/2,-z'
'x,-y+1/2,z'
loop_
_atom_site_label
_atom_site_type_symbol
_atom_site_fract_x
_atom_site_fract_y
_atom_site_fract_z
_atom_site_occupancy
Ti1 Ti 0.2500 0.2500 0.1029 1
Cl1 Cl 0.2500 0.7500 0.6811 1
O1 O 0.2500 0.7500 0.0622 1
```

Most intense lines, 2θ from 10° to 90°, by intensity:
| h k l | 2θ (°) | I/Imax |
| --- | --- | --- |
| 0 0 1 | 10.8 | 100 |
| 0 1 1 | 24.9 | 55 |
| 1 0 2 | 35.1 | 50 |
| 1 2 2 | 58.9 | 18 |
| 1 0 3 | 43.1 | 17 |
| 1 1 1 | 37.3 | 16 |
| 1 1 3 | 49.1 | 16 |
| 0 2 0 | 45.7 | 15 |


[3]
Starting from the PBE geometry in the Materials Project, the XRD peak list of TmClO was calculated for λ = 1.5418 Å (Cu Kα).
Peak positions follow from Bragg's law for the DFT cell and can differ from measured ones.

Atomic structure:
```
data_TmClO
_chemical_formula_sum 'Tm2 Cl2 O2'
_cell_length_a 3.8472
_cell_length_b 3.8472
_cell_length_c 6.6983
_cell_angle_alpha 90.00
_cell_angle_beta 90.00
_cell_angle_gamma 90.00
_space_group_name_H-M_alt 'P 4/n m m'
_space_group_IT_number 129
loop_
_space_group_symop_operation_xyz
'x,y,z'
'-x,-y,-z'
'-y+1/2,x,z'
'y+1/2,-x,-z'
'-x+1/2,-y+1/2,z'
'x+1/2,y+1/2,-z'
'y,-x+1/2,z'
'-y,x+1/2,-z'
'x+1/2,-y,-z'
'-x+1/2,y,z'
'-y,-x,-z'
'y,x,z'
'-x,y+1/2,-z'
'x,-y+1/2,z'
'y+1/2,x+1/2,-z'
'-y+1/2,-x+1/2,z'
loop_
_atom_site_label
_atom_site_type_symbol
_atom_site_fract_x
_atom_site_fract_y
_atom_site_fract_z
_atom_site_occupancy
Tm1 Tm 0.2500 0.2500 0.1638 1
Cl1 Cl 0.2500 0.2500 0.6293 1
O1 O 0.2500 0.7500 0.0000 1
```

Most intense lines, 2θ from 10° to 90°, by intensity:
| h k l | 2θ (°) | I/Imax |
| --- | --- | --- |
| 1 0 2 | 35.5 | 100 |
| 1 0 1 | 26.7 | 80 |
| 1 1 0 | 32.9 | 60 |
| 0 0 1 | 13.2 | 45 |
| 2 1 2 | 60.5 | 39 |
| 2 0 0 | 47.3 | 29 |
| 2 1 1 | 55.1 | 27 |
| 1 1 3 | 53.1 | 22 |


[4]
Starting from the PBE geometry in the Materials Project, the XRD peak list of TmClO was calculated for λ = 1.5418 Å (Cu Kα).
Peak positions follow from Bragg's law for the DFT cell and can differ from measured ones.

Atomic structure:
```
data_TmClO
_chemical_formula_sum 'Tm6 Cl6 O6'
_cell_length_a 3.7555
_cell_length_b 3.7555
_cell_length_c 28.3023
_cell_angle_alpha 90.00
_cell_angle_beta 90.00
_cell_angle_gamma 120.00
_space_group_name_H-M_alt 'R -3 m'
_space_group_IT_number 166
_space_group_name_Hall '-R 3 2"'
loop_
_atom_site_label
_atom_site_type_symbol
_atom_site_fract_x
_atom_site_fract_y
_atom_site_fract_z
_atom_site_occupancy
Tm1 Tm 0.0000 0.0000 0.2166 1
Cl1 Cl 0.0000 0.0000 0.3891 1
O1 O 0.0000 0.0000 0.1369 1
```

Most intense lines, 2θ from 10° to 90°, by intensity:
| h k l | 2θ (°) | I/Imax |
| --- | --- | --- |
| 0 1 2 | 28.2 | 100 |
| 0 1 5 | 31.7 | 98 |
| 1 0 7 | 35.4 | 60 |
| 1 1 0 | 48.5 | 47 |
| 0 1 11 | 44.9 | 27 |
| 1 1 12 | 63.3 | 23 |
| 0 0 9 | 28.4 | 23 |
| 1 1 9 | 57.1 | 21 |


[5]
Starting from the PBE geometry in the Materials Project, the XRD peak list of TmClO was calculated for λ = 1.5418 Å (Cu Kα).
Peak positions follow from Bragg's law for the DFT cell and can differ from measured ones.

Atomic structure:
```
data_TmClO
_chemical_formula_sum 'Tm2 Cl2 O2'
_cell_length_a 3.7068
_cell_length_b 4.1545
_cell_length_c 9.2006
_cell_angle_alpha 90.00
_cell_angle_beta 90.00
_cell_angle_gamma 90.00
_space_group_name_H-M_alt 'P m m n'
_space_group_IT_number 59
loop_
_space_group_symop_operation_xyz
'x,y,z'
'-x,-y,-z'
'-x+1/2,-y+1/2,z'
'x+1/2,y+1/2,-z'
'x+1/2,-y,-z'
'-x+1/2,y,z'
'-x,y+1/2,-z'
'x,-y+1/2,z'
loop_
_atom_site_label
_atom_site_type_symbol
_atom_site_fract_x
_atom_site_fract_y
_atom_site_fract_z
_atom_site_occupancy
Tm1 Tm 0.2500 0.2500 0.1120 1
Cl1 Cl 0.2500 0.7500 0.6830 1
O1 O 0.2500 0.7500 0.0306 1
```

Most intense lines, 2θ from 10° to 90°, by intensity:
| h k l | 2θ (°) | I/Imax |
| --- | --- | --- |
| 1 0 2 | 31.0 | 100 |
| 0 1 1 | 23.5 | 99 |
| 1 1 1 | 33.8 | 63 |
| 0 1 2 | 29.0 | 52 |
| 1 2 2 | 54.4 | 40 |
| 1 0 3 | 38.1 | 39 |
| 1 1 4 | 51.7 | 33 |
| 1 1 3 | 44.1 | 33 |


[6]
Starting from the PBE geometry in the Materials Project, the XRD peak list of UCl2O was calculated for λ = 1.5418 Å (Cu Kα).
Peak positions follow from Bragg's law for the DFT cell and can differ from measured ones.

Atomic structure:
```
data_UCl2O
_chemical_formula_sum 'U12 Cl24 O12'
_cell_length_a 15.2836
_cell_length_b 17.9845
_cell_length_c 3.9901
_cell_angle_alpha 90.00
_cell_angle_beta 90.00
_cell_angle_gamma 90.00
_space_group_name_H-M_alt 'P b a m'
_space_group_IT_number 55
_space_group_name_Hall '-P 2 2ab'
loop_
_atom_site_label
_atom_site_type_symbol
_atom_site_fract_x
_atom_site_fract_y
_atom_site_fract_z
_atom_site_occupancy
U1 U 0.1589 0.1642 0.0000 1
U2 U 0.1637 0.7486 0.5000 1
U3 U 0.2182 0.5267 0.5000 1
Cl1 Cl 0.0304 0.7829 0.0000 1
Cl2 Cl 0.0661 0.0849 0.5000 1
Cl3 Cl 0.0711 0.6173 0.5000 1
Cl4 Cl 0.1219 0.4548 0.0000 1
Cl5 Cl 0.1392 0.2809 0.5000 1
Cl6 Cl 0.1747 0.9035 0.5000 1
O1 O 0.2141 0.7341 0.0000 1
O2 O 0.2277 0.0549 0.0000 1
O3 O 0.2399 0.1485 0.5000 1
```

Most intense lines, 2θ from 10° to 90°, by intensity:
| h k l | 2θ (°) | I/Imax |
| --- | --- | --- |
| 2 0 0 | 11.6 | 100 |
| 1 2 0 | 11.4 | 78 |
| 2 1 1 | 25.7 | 55 |
| 3 3 0 | 22.9 | 41 |
| 4 1 1 | 32.8 | 37 |
| 2 5 0 | 27.4 | 33 |
| 2 4 1 | 32.2 | 26 |
| 1 4 1 | 30.5 | 24 |


[7]
Starting from the PBE geometry in the Materials Project, the XRD peak list of U2ClO9 was calculated for λ = 1.5418 Å (Cu Kα).
Peak positions follow from Bragg's law for the DFT cell and can differ from measured ones.

Atomic structure:
```
data_U2ClO9
_chemical_formula_sum 'U8 Cl4 O36'
_cell_length_a 9.8710
_cell_length_b 10.0438
_cell_length_c 12.4384
_cell_angle_alpha 90.00
_cell_angle_beta 120.60
_cell_angle_gamma 90.00
_space_group_name_H-M_alt 'P 1 21/c 1'
_space_group_IT_number 14
_space_group_name_Hall '-P 2ybc'
loop_
_atom_site_label
_atom_site_type_symbol
_atom_site_fract_x
_atom_site_fract_y
_atom_site_fract_z
_atom_site_occupancy
U1 U 0.0235 0.0664 0.3640 1
U2 U 0.3651 0.6265 0.0971 1
Cl1 Cl 0.2697 0.7025 0.2767 1
O1 O 0.0491 0.1281 0.2337 1
O2 O 0.0822 0.0840 0.7194 1
O3 O 0.1190 0.2113 0.4627 1
O4 O 0.1238 0.5607 0.0450 1
O5 O 0.2630 0.5237 0.9304 1
O6 O 0.3071 0.6986 0.5561 1
O7 O 0.4304 0.2166 0.2243 1
O8 O 0.4412 0.0298 0.6854 1
O9 O 0.4431 0.1582 0.4128 1
```

Most intense lines, 2θ from 10° to 90°, by intensity:
| h k l | 2θ (°) | I/Imax |
| --- | --- | --- |
| 0 1 1 | 12.1 | 100 |
| 0 2 1 | 19.5 | 29 |
| 0 1 2 | 18.8 | 24 |
| 2 1 -3 | 24.7 | 24 |
| 3 0 0 | 31.5 | 22 |
| 2 0 -2 | 18.9 | 21 |
| 2 2 -1 | 25.4 | 17 |
| 1 1 0 | 13.7 | 14 |


[8]
Starting from the PBE geometry in the Materials Project, the XRD peak list of U2Cl5O2 was calculated for λ = 1.5418 Å (Cu Kα).
Peak positions follow from Bragg's law for the DFT cell and can differ from measured ones.

Atomic structure:
```
data_U2Cl5O2
_chemical_formula_sum 'U4 Cl10 O4'
_cell_length_a 8.4920
_cell_length_b 13.8231
_cell_length_c 4.1309
_cell_angle_alpha 90.00
_cell_angle_beta 90.00
_cell_angle_gamma 90.00
_space_group_name_H-M_alt 'C m m m'
_space_group_IT_number 65
_space_group_name_Hall '-C 2 2'
loop_
_atom_site_label
_atom_site_type_symbol
_atom_site_fract_x
_atom_site_fract_y
_atom_site_fract_z
_atom_site_occupancy
U1 U 0.0000 0.2003 0.0000 1
Cl1 Cl 0.0000 0.0000 0.0000 1
Cl2 Cl 0.1894 0.3604 0.0000 1
O1 O 0.0000 0.2006 0.5000 1
```

Most intense lines, 2θ from 10° to 90°, by intensity:
| h k l | 2θ (°) | I/Imax |
| --- | --- | --- |
| 0 2 0 | 12.8 | 100 |
| 0 0 1 | 21.5 | 78 |
| 1 5 0 | 34.1 | 39 |
| 2 0 0 | 20.9 | 38 |
| 1 5 1 | 40.7 | 37 |
| 1 3 0 | 21.9 | 37 |
| 2 2 0 | 24.6 | 35 |
| 1 1 0 | 12.2 | 34 |